The following is a theoretical X-ray diffraction stick pattern of CuTe2I. It was derived from a PBE-relaxed structure, using Cu Kα X-rays.
Neutral-atom scattering factors, no anomalous dispersion.

Top 10 peaks for 10 to 80 degrees two-theta, by angle:
| 2θ/deg | I (rel.) | h k l |
| --- | --- | --- |
| 14.79 | 779 | 0 0 2 |
| 22.23 | 783 | 1 1 -2 |
| 23.36 | 819 | 1 1 1 |
| 26.48 | 1000 | 1 1 -3 |
| 28.08 | 935 | 1 1 2 |
| 28.49 | 846 | 2 1 0 |
| 29.61 | 723 | 2 1 -3 |
| 31.00 | 663 | 3 0 -2 |
| 45.30 | 509 | 1 1 -6 |
| 47.52 | 683 | 1 1 5 |

Structure:
```
data_CuTe2I
_symmetry_space_group_name_H-M 'P 1 21/c 1'
_symmetry_Int_Tables_number 14
_cell_length_a 8.654
_cell_length_b 5.232
_cell_length_c 13.247
_cell_angle_alpha 90.00
_cell_angle_beta 115.30
_cell_angle_gamma 90.00
loop_
_symmetry_equiv_pos_as_xyz
'x,y,z'
'-x,-y,-z'
'-x,y+1/2,-z+1/2'
'x,-y+1/2,z+1/2'
loop_
_atom_site_label
_atom_site_type_symbol
_atom_site_fract_x
_atom_site_fract_y
_atom_site_fract_z
_atom_site_occupancy
Cu1 Cu 0.189 0.134 0.250 1
Te1 Te 0.284 0.024 0.650 1
Te2 Te 0.414 0.711 0.847 1
I1 I 0.091 0.119 0.887 1
```

=====

The following is a theoretical X-ray diffraction stick pattern of K2TmCuCl6. It was derived from a PBE-relaxed structure, using Cu Kα X-rays.
Neutral-atom scattering factors, no anomalous dispersion.

Top 10 peaks for 10 to 80 degrees two-theta, by angle:
| 2θ/deg | I (rel.) | h k l |
| --- | --- | --- |
| 14.92 | 305 | 1 1 1 |
| 17.24 | 994 | 2 0 0 |
| 24.48 | 1000 | 2 2 0 |
| 28.79 | 214 | 3 1 1 |
| 34.89 | 937 | 4 0 0 |
| 39.17 | 497 | 4 2 0 |
| 43.09 | 450 | 4 2 2 |
| 50.18 | 612 | 4 4 0 |
| 53.45 | 249 | 6 0 0 |
| 68.24 | 222 | 6 4 2 |

Structure:
```
data_K2TmCuCl6
_symmetry_space_group_name_H-M 'F m -3 m'
_symmetry_Int_Tables_number 225
_symmetry_space_group_name_Hall '-F 4 2 3'
_cell_length_a 10.285
_cell_length_b 10.285
_cell_length_c 10.285
_cell_angle_alpha 90.00
_cell_angle_beta 90.00
_cell_angle_gamma 90.00
loop_
_atom_site_label
_atom_site_type_symbol
_atom_site_fract_x
_atom_site_fract_y
_atom_site_fract_z
_atom_site_occupancy
K1 K 0.250 0.250 0.250 1
Tm1 Tm 0.000 0.000 0.000 1
Cu1 Cu 0.000 0.000 0.500 1
Cl1 Cl 0.000 0.000 0.252 1
```

=====

The following is a theoretical X-ray diffraction stick pattern of Sc2CCl2. It was derived from a PBE-relaxed structure, using Cu Kα X-rays.
Neutral-atom scattering factors, no anomalous dispersion.

Top 10 peaks for 10 to 80 degrees two-theta, by angle:
| 2θ/deg | I (rel.) | h k l |
| --- | --- | --- |
| 17.56 | 203 | 0 0 2 |
| 29.91 | 295 | 1 0 0 |
| 34.90 | 1000 | 1 0 2 |
| 40.37 | 565 | 1 0 3 |
| 44.87 | 93 | 0 0 5 |
| 53.11 | 294 | 1 1 0 |
| 54.87 | 205 | 0 1 5 |
| 65.14 | 131 | 0 2 2 |
| 68.76 | 98 | 0 2 3 |
| 72.00 | 120 | 1 1 5 |

Structure:
```
data_Sc2CCl2
_symmetry_space_group_name_H-M 'P -3 m 1'
_symmetry_Int_Tables_number 164
_symmetry_space_group_name_Hall '-P 3 2"'
_cell_length_a 3.4490
_cell_length_b 3.4490
_cell_length_c 10.1000
_cell_angle_alpha 90.00
_cell_angle_beta 90.00
_cell_angle_gamma 120.00
loop_
_atom_site_label
_atom_site_type_symbol
_atom_site_fract_x
_atom_site_fract_y
_atom_site_fract_z
_atom_site_occupancy
Sc1 Sc 0.3333 0.6667 0.3781 1
C1 C 0.0000 0.0000 0.5000 1
Cl1 Cl 0.3333 0.6667 0.7874 1
```